1.
Diffraction record for Ba8BiPt2. The powder diffractogram is computed, not measured: it uses a structure optimized by DFT (PBE) and Cu Ka.
Neutral-atom scattering factors, no anomalous dispersion.

Crystal structure
```
Ba8BiPt2
1.0
10.6946 0.0000 0.0000
-5.3473 9.2618 0.0000
0.0000 0.0000 6.4928
Ba Bi Pt
8 1 2
Direct
0.1679 0.3386 0.2517 Ba
0.1707 0.8321 0.2517 Ba
0.3333 0.6667 0.7566 Ba
0.3386 0.1707 0.7483 Ba
0.6614 0.8293 0.2517 Ba
0.6667 0.3333 0.2434 Ba
0.8293 0.1679 0.7483 Ba
0.8321 0.6614 0.7483 Ba
0.0000 0.0000 0.5000 Bi
0.3333 0.6667 0.2641 Pt
0.6667 0.3333 0.7359 Pt
```

Largest 12 diffraction maxima, sorted by position, 10 to 90 degrees two-theta:
| d/Å | 2θ (°) | I/Imax |
| --- | --- | --- |
| 5.333 | 16.62 | 100.0 |
| 4.631 | 19.17 | 29.9 |
| 3.770 | 23.60 | 52.1 |
| 3.246 | 27.47 | 23.6 |
| 3.084 | 28.96 | 36.6 |
| 2.674 | 33.52 | 75.6 |
| 2.658 | 33.72 | 47.2 |
| 2.064 | 43.87 | 39.2 |
| 2.020 | 44.86 | 17.6 |
| 1.885 | 48.28 | 17.1 |
| 1.541 | 60.05 | 17.9 |
| 1.388 | 67.51 | 19.4 |


2.
Diffraction record for Ba2Bi4Pt3Rh. The powder diffractogram is computed, not measured: it uses a structure optimized by DFT (PBE) and Cu Ka.
Neutral-atom scattering factors, no anomalous dispersion.

Crystal structure
```
Ba2Bi4Pt3Rh
1.0
4.9655 0.0000 0.0000
0.0000 4.9655 0.0000
0.0000 0.0000 10.9240
Ba Bi Pt Rh
2 4 3 1
Direct
0.0000 0.5000 0.2408 Ba
0.5000 0.0000 0.7592 Ba
0.0000 0.0000 0.5000 Bi
0.0000 0.5000 0.8823 Bi
0.5000 0.0000 0.1177 Bi
0.5000 0.5000 0.5000 Bi
0.0000 0.0000 0.0000 Pt
0.0000 0.5000 0.6254 Pt
0.5000 0.0000 0.3746 Pt
0.5000 0.5000 0.0000 Rh
```

Largest 12 diffraction maxima, sorted by position, 10 to 90 degrees two-theta:
| d/Å | 2θ (°) | I/Imax |
| --- | --- | --- |
| 5.462 | 16.23 | 25.8 |
| 4.520 | 19.64 | 25.2 |
| 2.954 | 30.26 | 89.7 |
| 2.936 | 30.44 | 74.6 |
| 2.483 | 36.18 | 100.0 |
| 2.156 | 41.91 | 66.5 |
| 1.896 | 47.99 | 42.9 |
| 1.756 | 52.10 | 35.8 |
| 1.616 | 56.98 | 19.7 |
| 1.509 | 61.44 | 24.3 |
| 1.361 | 68.99 | 31.4 |
| 1.197 | 80.23 | 21.0 |


3.
Diffraction record for Ba2PuBi2. The powder diffractogram is computed, not measured: it uses a structure optimized by DFT (PBE) and Cu Ka.
Neutral-atom scattering factors, no anomalous dispersion.

Crystal structure
```
Ba2PuBi2
1.0
-4.4040 7.1924 3.4837
4.4040 -7.1924 3.4837
4.4040 7.1924 -3.4837
Ba Pu Bi
4 2 4
Direct
0.1434 0.1544 0.2978 Ba
0.3566 0.6544 0.0109 Ba
0.6434 0.3456 0.9891 Ba
0.8566 0.8456 0.7022 Ba
0.2500 0.7500 0.5000 Pu
0.7500 0.2500 0.5000 Pu
0.1154 0.7452 0.8605 Bi
0.3846 0.2452 0.6298 Bi
0.6154 0.7548 0.3702 Bi
0.8846 0.2548 0.1395 Bi
```

Largest 12 diffraction maxima, sorted by position, 10 to 90 degrees two-theta:
| d/Å | 2θ (°) | I/Imax |
| --- | --- | --- |
| 7.512 | 11.78 | 37.9 |
| 7.192 | 12.31 | 38.8 |
| 4.351 | 20.41 | 39.1 |
| 4.211 | 21.10 | 63.4 |
| 3.600 | 24.73 | 56.7 |
| 3.160 | 28.24 | 47.9 |
| 2.786 | 32.13 | 88.7 |
| 2.733 | 32.77 | 100.0 |
| 2.532 | 35.45 | 58.1 |
| 2.502 | 35.89 | 97.3 |
| 2.033 | 44.56 | 33.6 |
| 1.662 | 55.28 | 32.7 |


4.
Diffraction record for BaPu3Bi3. The powder diffractogram is computed, not measured: it uses a structure optimized by DFT (PBE) and Cu Ka.
Neutral-atom scattering factors, no anomalous dispersion.

Crystal structure
```
BaPu3Bi3
1.0
8.7479 0.0000 0.0000
0.0000 8.7479 0.0000
0.0000 0.0000 8.7479
Ba Pu Bi
2 6 6
Direct
0.0000 0.0000 0.0000 Ba
0.5000 0.5000 0.5000 Ba
0.0000 0.2500 0.5000 Pu
0.0000 0.7500 0.5000 Pu
0.2500 0.5000 0.0000 Pu
0.5000 0.0000 0.2500 Pu
0.5000 0.0000 0.7500 Pu
0.7500 0.5000 0.0000 Pu
0.0000 0.5000 0.2500 Bi
0.0000 0.5000 0.7500 Bi
0.2500 0.0000 0.5000 Bi
0.5000 0.2500 0.0000 Bi
0.5000 0.7500 0.0000 Bi
0.7500 0.0000 0.5000 Bi
```

Largest 12 diffraction maxima, sorted by position, 10 to 90 degrees two-theta:
| d/Å | 2θ (°) | I/Imax |
| --- | --- | --- |
| 6.186 | 14.32 | 50.1 |
| 4.374 | 20.30 | 40.7 |
| 3.571 | 24.93 | 100.0 |
| 2.525 | 35.55 | 58.6 |
| 2.338 | 38.51 | 65.4 |
| 2.187 | 41.28 | 43.7 |
| 1.956 | 46.42 | 19.4 |
| 1.865 | 48.83 | 16.8 |
| 1.597 | 57.72 | 20.6 |
| 1.546 | 59.80 | 30.1 |
| 1.419 | 65.81 | 21.0 |
| 1.319 | 71.54 | 24.4 |


5.
Diffraction record for BaPuBi4Rh2. The powder diffractogram is computed, not measured: it uses a structure optimized by DFT (PBE) and Cu Ka.
Neutral-atom scattering factors, no anomalous dispersion.

Crystal structure
```
BaPuBi4Rh2
1.0
4.8141 0.0000 0.0000
0.0000 4.8141 0.0000
0.0000 0.0000 10.7170
Ba Pu Bi Rh
1 1 4 2
Direct
0.0000 0.0000 0.0000 Ba
0.0000 0.0000 0.5000 Pu
0.0000 0.5000 0.2599 Bi
0.0000 0.5000 0.7401 Bi
0.5000 0.0000 0.2599 Bi
0.5000 0.0000 0.7401 Bi
0.5000 0.5000 0.3795 Rh
0.5000 0.5000 0.6205 Rh
```

Largest 12 diffraction maxima, sorted by position, 10 to 90 degrees two-theta:
| d/Å | 2θ (°) | I/Imax |
| --- | --- | --- |
| 5.358 | 16.54 | 14.4 |
| 3.581 | 24.87 | 15.8 |
| 2.873 | 31.13 | 100.0 |
| 2.679 | 33.45 | 12.7 |
| 2.407 | 37.36 | 40.9 |
| 2.341 | 38.45 | 12.6 |
| 2.105 | 42.96 | 11.9 |
| 1.791 | 51.00 | 16.0 |
| 1.702 | 53.87 | 14.5 |
| 1.582 | 58.34 | 14.2 |
| 1.464 | 63.53 | 26.7 |
| 1.159 | 83.42 | 10.8 |


6.
Diffraction record for Rb2BaSnBi2. The powder diffractogram is computed, not measured: it uses a structure optimized by DFT (PBE) and Cu Ka.
Neutral-atom scattering factors, no anomalous dispersion.

Crystal structure
```
Rb2BaSnBi2
1.0
5.5299 0.0000 0.0000
0.0000 10.2193 0.0000
0.0000 0.0000 9.3048
Rb Ba Sn Bi
4 2 2 4
Direct
0.0000 0.0934 0.0000 Rb
0.0000 0.9066 0.5000 Rb
0.5000 0.1602 0.3309 Rb
0.5000 0.8398 0.8309 Rb
0.5000 0.4672 0.9810 Ba
0.5000 0.5328 0.4810 Ba
0.0000 0.3198 0.6345 Sn
0.0000 0.6802 0.1345 Sn
0.0000 0.4004 0.2612 Bi
0.0000 0.5996 0.7612 Bi
0.5000 0.1976 0.7254 Bi
0.5000 0.8024 0.2254 Bi
```

Largest 12 diffraction maxima, sorted by position, 10 to 90 degrees two-theta:
| d/Å | 2θ (°) | I/Imax |
| --- | --- | --- |
| 4.310 | 20.61 | 24.3 |
| 3.480 | 25.59 | 39.9 |
| 3.440 | 25.90 | 22.9 |
| 3.362 | 26.51 | 100.0 |
| 3.199 | 27.89 | 29.6 |
| 2.968 | 30.11 | 21.1 |
| 2.921 | 30.61 | 32.9 |
| 2.900 | 30.83 | 45.3 |
| 2.765 | 32.38 | 53.5 |
| 2.615 | 34.29 | 29.0 |
| 2.250 | 40.07 | 21.4 |
| 1.738 | 52.65 | 19.1 |